No. 1
Structure and simulated powder diffraction line list of H2PbO2 (the PBE geometry in the Materials Project; Cu Kα X-rays).

Cell and atoms:
Cell lengths 9.8705, 4.5052, 7.5486 Å; angles 90.00, 90.00, 90.00 degrees
Atoms (fractional coordinates):
H  0.0328  0.2500  0.2275
H  0.2025  0.7500  0.5759
H  0.2975  0.2500  0.0759
H  0.4672  0.7500  0.7275
H  0.5328  0.2500  0.2725
H  0.7025  0.7500  0.9241
H  0.7975  0.2500  0.4241
H  0.9672  0.7500  0.7725
Pb  0.2249  0.7500  0.9111
Pb  0.2751  0.2500  0.4111
Pb  0.7249  0.7500  0.5889
Pb  0.7751  0.2500  0.0889
O  0.0579  0.7500  0.7197
O  0.1974  0.2500  0.0630
O  0.3026  0.7500  0.5630
O  0.4421  0.2500  0.2197
O  0.5579  0.7500  0.7803
O  0.6974  0.2500  0.4370
O  0.8026  0.7500  0.9370
O  0.9421  0.2500  0.2803

Top 8 peaks for 10° ≤ 2θ ≤ 90°, sorted by position:
h k l	2θ/deg	d/Å	I_rel
2 0 0	17.97	4.935	856
0 1 1	22.99	3.869	476
1 1 1	24.72	3.602	1000
1 0 2	25.26	3.525	558
2 1 1	29.33	3.045	253
3 1 1	35.83	2.506	371
0 1 3	41.09	2.197	245
2 1 3	45.18	2.007	417

=====

No. 2
Structure and simulated powder diffraction line list of H2Pb3O4 (the PBE geometry in the Materials Project; Cu Kα X-rays).

Cell and atoms:
Cell lengths 8.3193, 8.3193, 9.4491 Å; angles 90.00, 90.00, 90.00 degrees
Atoms (fractional coordinates):
H  0.1617  0.3231  0.2402
H  0.1769  0.3383  0.7402
H  0.3231  0.8383  0.7598
H  0.3383  0.8231  0.2598
H  0.6617  0.1769  0.2598
H  0.6769  0.1617  0.7598
H  0.8231  0.6617  0.7402
H  0.8383  0.6769  0.2402
Pb  0.0000  0.0000  0.2781
Pb  0.0000  0.0000  0.7219
Pb  0.1244  0.7050  0.9965
Pb  0.2050  0.6244  0.4965
Pb  0.2950  0.1244  0.0035
Pb  0.3756  0.2050  0.5035
Pb  0.5000  0.5000  0.2219
Pb  0.5000  0.5000  0.7781
Pb  0.6244  0.7950  0.5035
Pb  0.7050  0.8756  0.0035
Pb  0.7950  0.3756  0.4965
Pb  0.8756  0.2950  0.9965
O  0.0814  0.1934  0.8718
O  0.1076  0.2510  0.1711
O  0.1934  0.9186  0.1282
O  0.2490  0.3924  0.6711
O  0.2510  0.8924  0.8289
O  0.3066  0.4186  0.3718
O  0.3924  0.7510  0.3289
O  0.4186  0.6934  0.6282
O  0.5814  0.3066  0.6282
O  0.6076  0.2490  0.3289
O  0.6934  0.5814  0.3718
O  0.7490  0.1076  0.8289
O  0.7510  0.6076  0.6711
O  0.8066  0.0814  0.1282
O  0.8924  0.7490  0.1711
O  0.9186  0.8066  0.8718

Top 8 peaks for 10° ≤ 2θ ≤ 90°, sorted by position:
h k l	2θ/deg	d/Å	I_rel
2 1 0	23.92	3.721	666
1 1 2	24.16	3.684	813
2 1 1	25.73	3.462	554
2 0 2	28.59	3.122	906
2 1 2	30.58	2.923	1000
3 1 0	34.08	2.631	544
3 1 3	44.90	2.019	374
4 2 0	48.95	1.861	448

=====

No. 3
Structure and simulated powder diffraction line list of H2PdPb2O4 (the PBE geometry in the Materials Project; Cu Kα X-rays).

Cell and atoms:
Cell lengths 6.4679, 6.6648, 8.9817 Å; angles 74.38, 73.59, 78.44 degrees
Atoms (fractional coordinates):
H  0.0865  0.0690  0.2378
H  0.1243  0.4436  0.6876
H  0.8757  0.5564  0.3124
H  0.9135  0.9310  0.7622
Pd  0.0000  0.0000  0.0000
Pd  0.5000  0.5000  0.5000
Pb  0.3690  0.8732  0.6934
Pb  0.4823  0.7384  0.1580
Pb  0.5177  0.2616  0.8420
Pb  0.6310  0.1268  0.3066
O  0.0000  0.0337  0.7652
O  0.0000  0.9663  0.2348
O  0.2302  0.5291  0.6883
O  0.3270  0.9871  0.9424
O  0.4639  0.8204  0.4011
O  0.5361  0.1796  0.5989
O  0.6730  0.0129  0.0576
O  0.7698  0.4709  0.3117

Top 8 peaks for 10° ≤ 2θ ≤ 90°, sorted by position:
h k l	2θ/deg	d/Å	I_rel
0 1 0	13.92	6.360	219
1 0 0	14.41	6.148	1000
1 0 1	15.67	5.656	282
0 1 -2	28.00	3.187	241
1 2 1	28.14	3.171	210
1 2 0	29.84	2.994	216
1 -1 2	30.04	2.975	289
2 1 2	30.84	2.899	212

=====

No. 4
Structure and simulated powder diffraction line list of USiH2PbO7 (the PBE geometry in the Materials Project; Cu Kα X-rays).

Cell and atoms:
Cell lengths 6.8700, 6.9451, 13.3913 Å; angles 90.00, 103.23, 90.00 degrees
Atoms (fractional coordinates):
U  0.0312  0.2284  0.3263
U  0.0312  0.2716  0.8263
U  0.9688  0.7284  0.1737
U  0.9688  0.7716  0.6737
Si  0.0962  0.7111  0.4259
Si  0.0962  0.7889  0.9259
Si  0.9038  0.2111  0.0741
Si  0.9038  0.2889  0.5741
H  0.3549  0.5301  0.1206
H  0.3549  0.9699  0.6206
H  0.4460  0.5102  0.9149
H  0.4460  0.9898  0.4149
H  0.5540  0.0102  0.5851
H  0.5540  0.4898  0.0851
H  0.6451  0.0301  0.3794
H  0.6451  0.4699  0.8794
Pb  0.4274  0.0704  0.1201
Pb  0.4274  0.4296  0.6201
Pb  0.5726  0.5704  0.3799
Pb  0.5726  0.9296  0.8799
O  0.0172  0.0655  0.1694
O  0.0172  0.4345  0.6694
O  0.0455  0.2227  0.9907
O  0.0455  0.2773  0.4907
O  0.0909  0.5858  0.8612
O  0.0909  0.9142  0.3612
O  0.2444  0.6932  0.1927
O  0.2444  0.8068  0.6927
O  0.3006  0.2237  0.8347
O  0.3006  0.2763  0.3347
O  0.3228  0.6331  0.4743
O  0.3228  0.8669  0.9743
O  0.4239  0.0668  0.5867
O  0.4239  0.4332  0.0867
O  0.5761  0.5668  0.9133
O  0.5761  0.9332  0.4133
O  0.6772  0.1331  0.0257
O  0.6772  0.3669  0.5257
O  0.6994  0.7237  0.6653
O  0.6994  0.7763  0.1653
O  0.7556  0.1932  0.3073
O  0.7556  0.3068  0.8073
O  0.9091  0.0858  0.6388
O  0.9091  0.4142  0.1388
O  0.9545  0.7227  0.5093
O  0.9545  0.7773  0.0093
O  0.9828  0.5655  0.3306
O  0.9828  0.9345  0.8306

Top 8 peaks for 10° ≤ 2θ ≤ 90°, sorted by position:
h k l	2θ/deg	d/Å	I_rel
0 1 1	14.45	6.130	568
1 1 -2	21.06	4.218	854
1 1 2	24.72	3.601	778
2 0 0	26.63	3.348	856
2 0 -2	27.04	3.297	567
1 2 0	28.98	3.082	1000
0 1 4	30.29	2.950	535
0 3 2	41.39	2.182	513

=====

No. 5
Structure and simulated powder diffraction line list of PrH3S3O12 (the PBE geometry in the Materials Project; Cu Kα X-rays).

Cell and atoms:
Cell lengths 9.6547, 9.6547, 5.9205 Å; angles 90.00, 90.00, 120.00 degrees
Atoms (fractional coordinates):
Pr  0.3333  0.6667  0.0000
Pr  0.6667  0.3333  0.5000
H  0.0581  0.8355  0.8819
H  0.1645  0.2227  0.8819
H  0.2227  0.0581  0.3819
H  0.7773  0.9419  0.8819
H  0.8355  0.7773  0.3819
H  0.9419  0.1645  0.3819
S  0.0973  0.4013  0.4969
S  0.3040  0.9027  0.4969
S  0.4013  0.3040  0.9969
S  0.5987  0.6960  0.4969
S  0.6960  0.0973  0.9969
S  0.9027  0.5987  0.9969
O  0.0233  0.2111  0.5013
O  0.0350  0.5668  0.9965
O  0.1878  0.9767  0.5013
O  0.1937  0.4491  0.7038
O  0.1960  0.4586  0.2933
O  0.2111  0.1878  0.0013
O  0.2554  0.8063  0.7038
O  0.2626  0.8040  0.2933
O  0.4332  0.4682  0.9965
O  0.4491  0.2554  0.2038
O  0.4586  0.2626  0.7933
O  0.4682  0.0350  0.4965
O  0.5318  0.9650  0.9965
O  0.5414  0.7374  0.2933
O  0.5509  0.7446  0.7038
O  0.5668  0.5318  0.4965
O  0.7374  0.1960  0.7933
O  0.7446  0.1937  0.2038
O  0.7889  0.8122  0.5013
O  0.8040  0.5414  0.7933
O  0.8063  0.5509  0.2038
O  0.8122  0.0233  0.0013
O  0.9650  0.4332  0.4965
O  0.9767  0.7889  0.0013

Top 8 peaks for 10° ≤ 2θ ≤ 90°, sorted by position:
h k l	2θ/deg	d/Å	I_rel
1 0 0	10.58	8.361	985
1 1 0	18.37	4.830	678
1 1 1	23.78	3.741	527
2 0 1	26.09	3.415	1000
2 1 1	32.10	2.788	715
2 1 2	41.82	2.160	476
3 0 2	44.66	2.029	246
4 1 0	49.98	1.825	598